For FeCo2Mo, DFT lattice parameters and positions (PBE) gives the theoretical powder XRD pattern in this record (CuKα).

Structure:
a = 2.5858 Å, b = 2.5858 Å, c = 7.4330 Å
α = 90.00°, β = 90.00°, γ = 90.00°
Space group P4mm (No. 99)
Symmetry-distinct sites (fractional):
Fe  0.0000  0.0000  0.0000 x1
Co  0.0000  0.0000  0.5494 x1
Co  0.5000  0.5000  0.7625 x1
Mo  0.5000  0.5000  0.2801 x1

The 10 most intense peaks (2θ = 10–90°), by angle:
36.3 deg, 2.478 Å, I 5
36.8 deg, 2.442 Å, I 6
42.6 deg, 2.123 Å, I 100
49.0 deg, 1.858 Å, I 14
49.9 deg, 1.828 Å, I 32
72.5 deg, 1.303 Å, I 16
73.2 deg, 1.293 Å, I 10
73.5 deg, 1.289 Å, I 4
87.3 deg, 1.117 Å, I 8
88.6 deg, 1.104 Å, I 22